No. 1
For Li3Pm, a crystal structure in the Materials Project, relaxed with GGA-PBE gives the theoretical PXRD pattern in this record (Cu Kα, 1.54184 Å).
No peak broadening, texture or thermal motion is included.

```
Li3Pm
1.0
7.286 0.000 0.000
0.000 7.286 0.000
0.000 0.000 7.286
Li Pm
12 4
Direct
0.000 0.000 0.000 Li
0.000 0.500 0.500 Li
0.250 0.250 0.250 Li
0.250 0.250 0.750 Li
0.250 0.750 0.250 Li
0.250 0.750 0.750 Li
0.500 0.000 0.500 Li
0.500 0.500 0.000 Li
0.750 0.250 0.250 Li
0.750 0.250 0.750 Li
0.750 0.750 0.250 Li
0.750 0.750 0.750 Li
0.000 0.000 0.500 Pm
0.000 0.500 0.000 Pm
0.500 0.000 0.000 Pm
0.500 0.500 0.500 Pm
```

Largest 8 diffraction maxima, in order of rising 2θ, 2θ from 10° to 90°:
21.12°, d = 4.207 Å, rel. 100
24.43°, d = 3.643 Å, rel. 53
34.83°, d = 2.576 Å, rel. 55
41.09°, d = 2.197 Å, rel. 54
54.93°, d = 1.672 Å, rel. 23
56.48°, d = 1.629 Å, rel. 21
62.44°, d = 1.487 Å, rel. 20
66.70°, d = 1.402 Å, rel. 17

---

No. 2
For IrN4Cl3O, a crystal structure in the Materials Project, relaxed with GGA-PBE gives the theoretical PXRD pattern in this record (Cu Kα, 1.54184 Å).
No peak broadening, texture or thermal motion is included.

```
IrN4Cl3O
1.0
15.923 0.000 0.000
0.000 6.511 0.000
0.000 0.000 7.183
Ir N Cl O
4 16 12 4
Direct
0.150 0.250 0.170 Ir
0.350 0.750 0.670 Ir
0.650 0.250 0.330 Ir
0.850 0.750 0.830 Ir
0.061 0.750 0.619 N
0.078 0.033 0.173 N
0.078 0.467 0.173 N
0.214 0.250 0.977 N
0.286 0.750 0.477 N
0.422 0.533 0.673 N
0.422 0.967 0.673 N
0.439 0.250 0.119 N
0.561 0.750 0.881 N
0.578 0.033 0.327 N
0.578 0.467 0.327 N
0.714 0.250 0.523 N
0.786 0.750 0.023 N
0.922 0.533 0.827 N
0.922 0.967 0.827 N
0.939 0.250 0.381 N
0.073 0.750 0.146 Cl
0.120 0.537 0.648 Cl
0.120 0.963 0.648 Cl
0.380 0.037 0.148 Cl
0.380 0.463 0.148 Cl
0.427 0.250 0.646 Cl
0.573 0.750 0.354 Cl
0.620 0.537 0.852 Cl
0.620 0.963 0.852 Cl
0.880 0.037 0.352 Cl
0.880 0.463 0.352 Cl
0.927 0.250 0.854 Cl
0.215 0.250 0.374 O
0.285 0.750 0.874 O
0.715 0.250 0.126 O
0.785 0.750 0.626 O
```

Largest 8 diffraction maxima, in order of rising 2θ, 2θ from 10° to 90°:
16.62°, d = 5.333 Å, rel. 79
17.60°, d = 5.040 Å, rel. 69
18.39°, d = 4.824 Å, rel. 100
22.33°, d = 3.981 Å, rel. 54
25.42°, d = 3.504 Å, rel. 54
26.24°, d = 3.396 Å, rel. 47
29.08°, d = 3.070 Å, rel. 39
32.21°, d = 2.779 Å, rel. 73

---

No. 3
For LiTeO3, a crystal structure in the Materials Project, relaxed with GGA-PBE gives the theoretical PXRD pattern in this record (Cu Kα, 1.54184 Å).
No peak broadening, texture or thermal motion is included.

```
LiTeO3
1.0
5.178 0.000 0.000
0.000 5.341 0.000
0.000 0.000 8.961
Li Te O
4 4 12
Direct
0.000 0.000 0.000 Li
0.000 0.500 0.362 Li
0.500 0.000 0.862 Li
0.500 0.500 0.500 Li
0.000 0.000 0.585 Te
0.000 0.500 0.776 Te
0.500 0.000 0.276 Te
0.500 0.500 0.085 Te
0.205 0.346 0.612 O
0.208 0.813 0.759 O
0.211 0.327 0.921 O
0.289 0.827 0.421 O
0.292 0.313 0.259 O
0.295 0.846 0.112 O
0.705 0.154 0.112 O
0.708 0.687 0.259 O
0.711 0.173 0.421 O
0.789 0.673 0.921 O
0.792 0.187 0.759 O
0.795 0.654 0.612 O
```

Largest 8 diffraction maxima, in order of rising 2θ, 2θ from 10° to 90°:
19.35°, d = 4.588 Å, rel. 35
19.80°, d = 4.483 Å, rel. 100
31.26°, d = 2.861 Å, rel. 66
34.40°, d = 2.607 Å, rel. 18
39.27°, d = 2.294 Å, rel. 26
49.62°, d = 1.837 Å, rel. 26
54.14°, d = 1.694 Å, rel. 17
65.21°, d = 1.431 Å, rel. 21

---

No. 4
For Al4As3O23, a crystal structure in the Materials Project, relaxed with GGA-PBE gives the theoretical PXRD pattern in this record (Cu Kα, 1.54184 Å).
No peak broadening, texture or thermal motion is included.

```
Al4As3O23
1.0
7.674 0.000 0.000
0.000 7.674 0.000
0.000 0.000 7.674
Al As O
4 3 23
Direct
0.141 0.141 0.141 Al
0.141 0.859 0.859 Al
0.859 0.141 0.859 Al
0.859 0.859 0.141 Al
0.000 0.000 0.500 As
0.000 0.500 0.000 As
0.500 0.000 0.000 As
0.000 0.500 0.500 O
0.111 0.111 0.889 O
0.111 0.889 0.111 O
0.134 0.134 0.382 O
0.134 0.382 0.134 O
0.134 0.618 0.866 O
0.134 0.866 0.618 O
0.306 0.306 0.694 O
0.306 0.694 0.306 O
0.382 0.134 0.134 O
0.382 0.866 0.866 O
0.500 0.000 0.500 O
0.500 0.500 0.000 O
0.618 0.134 0.866 O
0.618 0.866 0.134 O
0.694 0.306 0.306 O
0.694 0.694 0.694 O
0.866 0.134 0.618 O
0.866 0.382 0.866 O
0.866 0.618 0.134 O
0.866 0.866 0.382 O
0.889 0.111 0.111 O
0.889 0.889 0.889 O
```

Largest 8 diffraction maxima, in order of rising 2θ, 2θ from 10° to 90°:
11.53°, d = 7.674 Å, rel. 100
20.04°, d = 4.431 Å, rel. 34
23.18°, d = 3.837 Å, rel. 20
28.49°, d = 3.133 Å, rel. 22
33.02°, d = 2.713 Å, rel. 40
37.05°, d = 2.427 Å, rel. 15
38.92°, d = 2.314 Å, rel. 18
53.39°, d = 1.716 Å, rel. 15

---

No. 5
For TmMgGa, a crystal structure in the Materials Project, relaxed with GGA-PBE gives the theoretical PXRD pattern in this record (Cu Kα, 1.54184 Å).
No peak broadening, texture or thermal motion is included.

```
TmMgGa
1.0
7.206 0.000 0.000
-3.603 6.240 0.000
0.000 0.000 4.406
Tm Mg Ga
3 3 3
Direct
0.000 0.572 0.000 Tm
0.428 0.428 0.000 Tm
0.572 0.000 0.000 Tm
0.000 0.244 0.500 Mg
0.244 0.000 0.500 Mg
0.756 0.756 0.500 Mg
0.000 0.000 0.000 Ga
0.333 0.667 0.500 Ga
0.667 0.333 0.500 Ga
```

Largest 8 diffraction maxima, in order of rising 2θ, 2θ from 10° to 90°:
20.16°, d = 4.406 Å, rel. 27
28.61°, d = 3.120 Å, rel. 35
32.09°, d = 2.789 Å, rel. 73
35.25°, d = 2.546 Å, rel. 100
38.16°, d = 2.359 Å, rel. 24
43.52°, d = 2.080 Å, rel. 27
57.20°, d = 1.611 Å, rel. 44
68.99°, d = 1.361 Å, rel. 36

---

No. 6
For Ba2TbSnO6, a crystal structure in the Materials Project, relaxed with GGA-PBE gives the theoretical PXRD pattern in this record (Cu Kα, 1.54184 Å).
No peak broadening, texture or thermal motion is included.

```
Ba2TbSnO6
1.0
0.000 4.328 4.328
4.328 0.000 4.328
4.328 4.328 0.000
Ba Tb Sn O
2 1 1 6
Direct
0.250 0.250 0.250 Ba
0.750 0.750 0.750 Ba
0.000 0.000 0.000 Tb
0.500 0.500 0.500 Sn
0.260 0.260 0.740 O
0.260 0.740 0.260 O
0.260 0.740 0.740 O
0.740 0.260 0.260 O
0.740 0.260 0.740 O
0.740 0.740 0.260 O
```

Largest 8 diffraction maxima, in order of rising 2θ, 2θ from 10° to 90°:
20.52°, d = 4.328 Å, rel. 1
29.18°, d = 3.060 Å, rel. 100
41.74°, d = 2.164 Å, rel. 30
51.74°, d = 1.767 Å, rel. 42
60.50°, d = 1.530 Å, rel. 19
68.56°, d = 1.369 Å, rel. 19
76.20°, d = 1.249 Å, rel. 6
83.59°, d = 1.157 Å, rel. 22

---

No. 7
For Dy2CrGe4, a crystal structure in the Materials Project, relaxed with GGA-PBE gives the theoretical PXRD pattern in this record (Cu Kα, 1.54184 Å).
No peak broadening, texture or thermal motion is included.

```
Dy2CrGe4
1.0
4.296 0.000 0.000
0.000 4.323 0.000
0.000 0.000 15.386
Dy Cr Ge
4 2 8
Direct
0.000 0.000 0.000 Dy
0.000 0.500 0.500 Dy
0.500 0.000 0.202 Dy
0.500 0.500 0.702 Dy
0.500 0.000 0.397 Cr
0.500 0.500 0.897 Cr
0.000 0.000 0.350 Ge
0.000 0.000 0.665 Ge
0.000 0.500 0.165 Ge
0.000 0.500 0.850 Ge
0.500 0.000 0.552 Ge
0.500 0.000 0.844 Ge
0.500 0.500 0.052 Ge
0.500 0.500 0.344 Ge
```

Largest 8 diffraction maxima, in order of rising 2θ, 2θ from 10° to 90°:
23.72°, d = 3.751 Å, rel. 15
34.23°, d = 2.620 Å, rel. 100
34.99°, d = 2.564 Å, rel. 17
35.82°, d = 2.507 Å, rel. 19
40.99°, d = 2.202 Å, rel. 13
41.79°, d = 2.162 Å, rel. 24
42.06°, d = 2.148 Å, rel. 21
60.79°, d = 1.524 Å, rel. 14

---

No. 8
For Rb2YCuF6, a crystal structure in the Materials Project, relaxed with GGA-PBE gives the theoretical PXRD pattern in this record (Cu Kα, 1.54184 Å).
No peak broadening, texture or thermal motion is included.

```
Rb2YCuF6
1.0
0.000 4.476 4.476
4.476 0.000 4.476
4.476 4.476 0.000
Rb Y Cu F
2 1 1 6
Direct
0.250 0.250 0.250 Rb
0.750 0.750 0.750 Rb
0.000 0.000 0.000 Y
0.500 0.500 0.500 Cu
0.244 0.244 0.756 F
0.244 0.756 0.244 F
0.244 0.756 0.756 F
0.756 0.244 0.244 F
0.756 0.244 0.756 F
0.756 0.756 0.244 F
```

Largest 8 diffraction maxima, in order of rising 2θ, 2θ from 10° to 90°:
28.20°, d = 3.165 Å, rel. 100
34.72°, d = 2.584 Å, rel. 8
40.30°, d = 2.238 Å, rel. 44
49.91°, d = 1.827 Å, rel. 41
58.31°, d = 1.582 Å, rel. 27
66.01°, d = 1.415 Å, rel. 18
73.27°, d = 1.292 Å, rel. 9
80.25°, d = 1.196 Å, rel. 21

---

Which formula does entry 4 have?
Al4As3O23

---

What is the formula in the second record?
IrN4Cl3O